1.
This entry pairs a crystal structure of Ba4PrYCu6O14 with its computed powder X-ray diffraction pattern. Radiation: copper Kα. Structure: a PBE-relaxed structure.

Principal peaks in the range 2θ from 10° to 80°, by intensity:
d_spacing	2θ/deg	I_rel
2.778	32.2	1000
2.766	32.4	921
2.803	31.9	899
1.609	57.3	376
1.616	57.0	353
1.595	57.8	329
1.974	46.0	284
1.939	46.9	268

```
Ba4PrYCu6O14
1.0
3.878 0.000 0.000
0.000 3.948 0.000
0.000 0.000 23.890
Ba Pr Y Cu O
4 1 1 6 14
direct
0.000 0.000 0.159
0.000 0.000 0.339
0.000 0.000 0.661
0.000 0.000 0.841
0.000 0.000 0.500
0.000 0.000 0.000
0.500 0.500 0.073
0.500 0.500 0.249
0.500 0.500 0.423
0.500 0.500 0.577
0.500 0.500 0.751
0.500 0.500 0.927
0.000 0.500 0.060
0.000 0.500 0.435
0.000 0.500 0.565
0.000 0.500 0.940
0.500 0.000 0.060
0.500 0.000 0.249
0.500 0.000 0.435
0.500 0.000 0.565
0.500 0.000 0.751
0.500 0.000 0.940
0.500 0.500 0.171
0.500 0.500 0.328
0.500 0.500 0.672
0.500 0.500 0.829
```

***

2.
This entry pairs a crystal structure of Li2AcTl with its computed powder X-ray diffraction pattern. Radiation: copper Kα. Structure: a PBE-relaxed structure.

Principal peaks in the range 2θ from 10° to 80°, by intensity:
d_spacing	2θ/deg	I_rel
3.680	24.2	1000
2.602	34.5	904
1.646	55.9	424
1.502	61.7	347
2.125	42.5	309
1.227	77.9	205
1.840	49.5	166
1.301	72.7	108

```
Li2AcTl
1.0
0.000 3.680 3.680
3.680 0.000 3.680
3.680 3.680 0.000
Li Ac Tl
2 1 1
direct
0.250 0.250 0.250
0.750 0.750 0.750
0.000 0.000 0.000
0.500 0.500 0.500
```

***

3.
This entry pairs a crystal structure of NiIr3 with its computed powder X-ray diffraction pattern. Radiation: copper Kα. Structure: a PBE-relaxed structure.

Principal peaks in the range 2θ from 10° to 80°, by intensity:
d_spacing	2θ/deg	I_rel
2.195	41.1	1000
1.898	47.9	323
1.345	69.9	209
1.906	47.7	164
3.399	26.2	122
1.342	70.1	104
3.813	23.3	41
2.112	42.8	35

```
NiIr3
1.0
-1.898 1.898 3.813
1.898 -1.898 3.813
1.898 1.898 -3.813
Ni Ir
1 3
direct
0.000 0.000 0.000
0.250 0.750 0.500
0.500 0.500 0.000
0.750 0.250 0.500
```

***

4.
This entry pairs a crystal structure of MgSnP2 with its computed powder X-ray diffraction pattern. Radiation: copper Kα. Structure: a PBE-relaxed structure.

Principal peaks in the range 2θ from 10° to 80°, by intensity:
d_spacing	2θ/deg	I_rel
3.400	26.2	1000
5.279	16.8	493
2.076	43.6	427
1.783	51.2	315
2.094	43.2	219
1.761	51.9	181
2.583	34.7	169
3.247	27.5	153

```
MgSnP2
1.0
-2.961 2.961 5.825
2.961 -2.961 5.825
2.961 2.961 -5.825
Mg Sn P
2 2 4
direct
0.000 0.000 0.000
0.750 0.250 0.500
0.250 0.750 0.500
0.500 0.500 0.000
0.128 0.125 0.503
0.375 0.872 0.997
0.622 0.625 0.497
0.875 0.378 0.003
```

***

5.
This entry pairs a crystal structure of Fe4NiSe10 with its computed powder X-ray diffraction pattern. Radiation: copper Kα. Structure: a PBE-relaxed structure.

Principal peaks in the range 2θ from 10° to 80°, by intensity:
d_spacing	2θ/deg	I_rel
2.595	34.6	1000
2.900	30.8	522
2.487	36.1	420
2.495	36.0	400
1.901	47.8	393
1.905	47.7	359
1.706	53.7	356
1.809	50.4	305

```
Fe4NiSe10
1.0
4.851 0.000 0.000
0.000 3.618 0.000
-0.112 0.000 29.028
Fe Ni Se
8 2 20
direct
0.000 0.000 0.000
0.000 0.000 0.200
0.000 0.000 0.800
0.498 0.500 0.700
0.500 0.500 0.100
0.500 0.500 0.500
0.500 0.500 0.900
0.502 0.500 0.300
0.000 0.000 0.400
0.000 0.000 0.600
0.217 0.000 0.273
0.219 0.000 0.074
0.219 0.000 0.475
0.219 0.000 0.874
0.221 0.000 0.675
0.281 0.500 0.173
0.281 0.500 0.774
0.281 0.500 0.974
0.293 0.500 0.573
0.294 0.500 0.373
0.706 0.500 0.627
0.707 0.500 0.427
0.719 0.500 0.026
0.719 0.500 0.226
0.719 0.500 0.827
0.779 0.000 0.325
0.781 0.000 0.126
0.781 0.000 0.525
0.781 0.000 0.926
0.783 0.000 0.727
```

***

6.
This entry pairs a crystal structure of VCl5 with its computed powder X-ray diffraction pattern. Radiation: copper Kα. Structure: a PBE-relaxed structure.

Principal peaks in the range 2θ from 10° to 80°, by intensity:
d_spacing	2θ/deg	I_rel
2.785	32.1	1000
5.967	14.8	811
2.769	32.3	559
5.652	15.7	481
5.542	16.0	342
5.219	17.0	332
2.984	29.9	292
1.832	49.8	275

```
VCl5
1.0
6.413 0.000 0.000
-3.025 6.239 0.000
-0.185 -3.642 8.507
V Cl
2 10
direct
0.105 0.219 0.220
0.895 0.781 0.780
0.067 0.818 0.584
0.107 0.634 0.849
0.223 0.170 0.959
0.289 0.022 0.245
0.423 0.553 0.321
0.577 0.447 0.679
0.711 0.978 0.755
0.777 0.830 0.041
0.893 0.366 0.151
0.933 0.182 0.416
```

***

7.
This entry pairs a crystal structure of Pd3N with its computed powder X-ray diffraction pattern. Radiation: copper Kα. Structure: a PBE-relaxed structure.

Principal peaks in the range 2θ from 10° to 80°, by intensity:
d_spacing	2θ/deg	I_rel
2.136	42.3	1000
1.233	77.4	320
3.489	25.5	201
1.511	61.4	160
3.021	29.6	104
1.822	50.1	100
1.386	67.6	41
1.351	69.6	38

```
Pd3N
1.0
0.000 3.021 3.021
3.021 0.000 3.021
3.021 3.021 0.000
Pd N
3 1
direct
0.000 0.000 0.000
0.250 0.250 0.250
0.750 0.750 0.750
0.500 0.500 0.500
```

***

8.
This entry pairs a crystal structure of CeAl2Si2 with its computed powder X-ray diffraction pattern. Radiation: copper Kα. Structure: a PBE-relaxed structure.

Principal peaks in the range 2θ from 10° to 80°, by intensity:
d_spacing	2θ/deg	I_rel
3.216	27.7	1000
2.491	36.1	597
2.105	43.0	368
6.822	13.0	342
1.545	59.9	265
1.278	74.2	209
3.647	24.4	177
1.761	51.9	174

```
CeAl2Si2
1.0
4.211 0.000 0.000
-2.105 3.647 0.000
0.000 0.000 6.822
Ce Al Si
1 2 2
direct
0.000 0.000 0.000
0.333 0.667 0.639
0.667 0.333 0.361
0.333 0.667 0.266
0.667 0.333 0.734
```